Diffraction record for NaTi2Pd. The PXRD pattern is simulated, not measured: it uses a cell relaxed with PBE and Cu Kα.
Lines closer than 0.1° are merged.

Peak list (10 most intense, 2θ = 10–80°, by angle)
d_spacing  I (rel.)
3.771  35
3.266  3
2.309  100
1.969  17
1.886  1
1.633  16
1.499  7
1.461  2
1.333  31
1.257  5

Atomic structure:
```
NaTi2Pd
1.0
6.5320 0.0000 0.0000
0.0000 6.5320 0.0000
0.0000 0.0000 6.5320
Na Ti Pd
4 8 4
Cartesian
0.0000 0.0000 0.0000
0.0000 3.2660 3.2660
3.2660 0.0000 3.2660
3.2660 3.2660 0.0000
1.6330 1.6330 1.6330
1.6330 1.6330 4.8990
1.6330 4.8990 1.6330
1.6330 4.8990 4.8990
4.8990 1.6330 1.6330
4.8990 1.6330 4.8990
4.8990 4.8990 1.6330
4.8990 4.8990 4.8990
0.0000 0.0000 3.2660
0.0000 3.2660 0.0000
3.2660 0.0000 0.0000
3.2660 3.2660 3.2660
```

Diffraction record for Na2Tl5Pd. The PXRD pattern is simulated, not measured: it uses a cell relaxed with PBE and Cu Kα.
Lines closer than 0.1° are merged.

Peak list (12 most intense, 2θ = 10–80°, by angle)
d_spacing  I (rel.)
5.310  59
4.940  19
4.227  18
3.124  30
2.918  100
2.655  33
2.470  45
2.329  18
2.239  19
2.023  18
1.808  36
1.499  17

Atomic structure:
```
Na2Tl5Pd
1.0
6.9856 0.0000 0.0000
0.0000 6.9856 0.0000
0.0000 0.0000 5.3101
Na Tl Pd
2 5 1
Cartesian
0.0000 3.4928 0.0000
3.4928 0.0000 0.0000
0.0000 0.0000 0.0000
1.9508 1.9508 2.6550
1.9508 5.0348 2.6550
5.0348 1.9508 2.6550
5.0348 5.0348 2.6550
0.0000 0.0000 2.6550
```

Diffraction record for NaTlPd4. The PXRD pattern is simulated, not measured: it uses a cell relaxed with PBE and Cu Kα.
Lines closer than 0.1° are merged.

Peak list (12 most intense, 2θ = 10–80°, by angle)
d_spacing  I (rel.)
6.928  16
5.219  43
3.236  21
2.644  48
2.309  20
2.205  100
2.120  18
2.063  25
1.984  20
1.430  14
1.247  15
1.216  23

Atomic structure:
```
NaTlPd4
1.0
7.9370 0.0000 0.0000
0.0000 4.1253 0.0000
0.0000 0.0000 6.9277
Na Tl Pd
2 2 8
Cartesian
1.9842 0.0000 1.3127
5.9527 0.0000 5.6150
1.9842 0.0000 5.3890
5.9527 0.0000 1.5388
0.0000 0.0000 3.4639
0.1630 2.0627 5.5087
1.9842 2.0627 3.3132
3.8054 2.0627 5.5087
3.9685 0.0000 3.4639
4.1315 2.0627 1.4190
5.9527 2.0627 3.6145
7.7739 2.0627 1.4190
```

Diffraction record for Na6Tl2Pd. The PXRD pattern is simulated, not measured: it uses a cell relaxed with PBE and Cu Kα.
Lines closer than 0.1° are merged.

Peak list (12 most intense, 2θ = 10–80°, by angle)
d_spacing  I (rel.)
5.154  20
4.633  100
4.484  33
3.735  17
2.705  68
2.580  46
2.411  24
2.395  18
2.336  17
2.123  15
1.866  40
1.768  15

Atomic structure:
```
Na6Tl2Pd
1.0
2.7054 1.5619 10.3080
-2.7054 1.5619 10.3080
0.0000 -3.1239 10.3080
Na Tl Pd
6 2 1
Cartesian
0.0000 0.0000 2.5186
0.0000 0.0000 5.9440
0.0000 0.0000 9.5099
0.0000 0.0000 21.4139
0.0000 0.0000 24.9799
0.0000 0.0000 28.4053
0.0000 0.0000 12.7593
0.0000 0.0000 18.1645
0.0000 0.0000 15.4619
```